Diffraction record for NiCO3. The PXRD pattern is calculated, not measured: it uses a cell relaxed with GGA+U and Cu Kα X-rays.

Top 10 peaks for 10° ≤ 2θ ≤ 80°, sorted by position:
2θ (°)  d/Å  I_rel
25.12  3.545  46
32.75  2.735  100
38.69  2.327  24
42.92  2.107  16
46.69  1.945  22
51.57  1.772  13
54.02  1.697  33
54.30  1.690  20
62.19  1.493  16
66.29  1.410  13

Crystal structure
```
10
Lattice="2.327 1.344 4.962 -2.327 1.344 4.962 0.000 -2.687 4.962" Properties=species:S:1:pos:R:3 pbc="T T T"
Ni 0.000 0.000 0.000
Ni 0.000 0.000 7.444
C 0.000 0.000 3.722
C 0.000 0.000 11.165
O -1.679 -0.221 6.203
O -0.648 -1.565 8.684
O 1.031 -1.344 6.203
O -1.031 1.344 8.684
O 0.648 1.565 6.203
O 1.679 0.221 8.684
```